For K3LiSn4, a structure optimized by DFT (GGA-PBE) gives the calculated powder diffractogram in this record (Cu Kα (λ = 1.5418 Å)).
Lines closer than 0.1° are merged.

Main lines, in order of falling intensity (2θ from 10° to 90°):
two_theta  Rel. int.  h k l
14.8  100  0 1 1
13.6  84  0 2 0
33.2  79  2 2 1
29.8  77  0 2 2
33.4  61  1 4 1
30.1  57  2 0 1

Structure:
Cell: 6.6064 13.0467 6.7277 Å, 90.00 90.00 90.00°
Positions (direct):
1 K 0.2500 0.0019 0.1808
2 K 0.2500 0.4981 0.1808
3 K 0.2500 0.7500 0.5380
4 K 0.7500 0.2500 0.4620
5 K 0.7500 0.5019 0.8192
6 K 0.7500 0.9981 0.8192
7 Li 0.2500 0.2500 0.3115
8 Li 0.7500 0.7500 0.6885
9 Sn 0.0092 0.7500 0.0320
10 Sn 0.2500 0.1340 0.6827
11 Sn 0.2500 0.3660 0.6827
12 Sn 0.4908 0.7500 0.0320
13 Sn 0.5092 0.2500 0.9680
14 Sn 0.7500 0.6340 0.3173
15 Sn 0.7500 0.8660 0.3173
16 Sn 0.9908 0.2500 0.9680